Diffraction record for SrLuAgTe3. The XRD peak list is simulated, not measured: it uses the PBE geometry in OQMD and Cu Kα, 1.54184 Å.

Structure:
a = 19.431 Å, b = 4.371 Å, c = 9.041 Å
α = 90.00°, β = 102.22°, γ = 90.00°
Space group C2/m (No. 12)
Unique sites:
Sr  0.129  0.000  0.072 (multiplicity 4)
Lu  0.165  0.000  0.588 (multiplicity 4)
Ag  0.038  0.500  0.712 (multiplicity 4)
Te  0.000  0.000  0.500 (multiplicity 2)
Te  0.000  0.500  0.000 (multiplicity 2)
Te  0.174  0.500  0.362 (multiplicity 4)
Te  0.186  0.500  0.829 (multiplicity 4)

Principal peaks in the range 2θ = 10–80°, in order of rising 2θ:
index  two_theta  Rel. int.
0 0 1  10.01  20.2
6 0 -1  27.86  23.3
6 0 0  28.19  43.1
1 1 -2  28.41  100.0
5 1 1  34.41  40.7
1 1 -3  36.25  18.3
2 0 -4  39.90  22.0
5 1 2  40.14  27.6
0 2 0  41.31  29.7
7 1 -3  45.39  19.9
6 2 0  50.76  16.9
2 2 -4  58.78  14.0


Diffraction record for Lu2AgTe. The XRD peak list is simulated, not measured: it uses the PBE geometry in OQMD and Cu Kα, 1.54184 Å.

Structure:
a = 7.383 Å, b = 7.383 Å, c = 7.383 Å
α = 90.00°, β = 90.00°, γ = 90.00°
Space group F-43m (No. 216)
Unique sites:
Lu  0.000  0.000  0.000 (multiplicity 4)
Lu  0.250  0.250  0.250 (multiplicity 4)
Ag  0.250  0.250  0.750 (multiplicity 4)
Te  0.000  0.000  0.500 (multiplicity 4)

Principal peaks in the range 2θ = 10–80°, in order of rising 2θ:
index  two_theta  Rel. int.
1 1 1  20.84  3.9
2 2 0  34.36  100.0
3 1 1  40.52  2.3
4 0 0  49.38  17.9
3 3 1  54.15  1.1
4 2 2  61.53  36.7
5 1 1  65.72  0.9
4 4 0  72.41  11.3
5 3 1  76.30  0.9


Diffraction record for Lu2AgTe3. The XRD peak list is simulated, not measured: it uses the PBE geometry in OQMD and Cu Kα, 1.54184 Å.

Structure:
a = 10.809 Å, b = 4.094 Å, c = 14.579 Å
α = 90.00°, β = 90.00°, γ = 90.00°
Space group Pnma (No. 62)
Unique sites:
Lu  0.016  0.250  0.247 (multiplicity 4)
Lu  0.229  0.750  0.527 (multiplicity 4)
Ag  0.236  0.250  0.726 (multiplicity 4)
Te  0.036  0.250  0.601 (multiplicity 4)
Te  0.074  0.750  0.098 (multiplicity 4)
Te  0.236  0.750  0.864 (multiplicity 4)

Principal peaks in the range 2θ = 10–80°, in order of rising 2θ:
index  two_theta  Rel. int.
2 0 2  20.46  7.8
3 0 2  27.62  9.3
1 1 3  29.71  32.0
2 1 3  33.08  100.0
3 1 1  33.71  14.0
1 0 6  37.95  8.1
3 1 3  38.08  8.3
2 0 6  40.71  9.6
2 1 5  41.56  10.6
0 2 0  44.25  17.8
3 0 6  45.00  9.3
4 2 0  56.39  8.1


Diffraction record for Lu2ThAg2. The XRD peak list is simulated, not measured: it uses the PBE geometry in OQMD and Cu Kα, 1.54184 Å.

Structure:
a = 5.147 Å, b = 8.740 Å, c = 11.171 Å
α = 90.00°, β = 90.00°, γ = 90.00°
Space group Cmcm (No. 63)
Unique sites:
Lu  0.000  0.175  0.072 (multiplicity 8)
Th  0.000  0.156  0.750 (multiplicity 4)
Ag  0.000  0.485  0.623 (multiplicity 8)

Principal peaks in the range 2θ = 10–80°, in order of rising 2θ:
index  two_theta  Rel. int.
1 1 3  31.37  100.0
0 2 3  31.57  58.7
2 0 0  34.86  54.3
1 3 0  35.40  99.5
1 1 4  38.08  26.3
2 2 3  47.73  37.8
0 4 3  48.29  12.0
3 1 3  60.33  16.0
2 4 3  60.93  12.1
1 5 3  61.29  19.7
1 3 6  61.82  22.6
3 3 0  62.86  18.7